Diffraction record for EuNi10P6. The powder diffraction line list is theoretical, not measured: it uses a cell relaxed with GGA-PBE and Cu Kα (λ = 1.5418 Å).
Peak positions follow from Bragg's law for the DFT cell and can differ from measured ones.

Crystal structure
Lattice parameters (Å, degrees): 8.650 8.650 8.717 90.00 90.00 136.43
Sites, in units of the cell vectors:
Eu1 0.000 0.000 0.000
Eu2 0.500 0.500 0.500
Ni1 0.028 0.374 0.470
Ni2 0.043 0.957 0.619
Ni3 0.087 0.413 0.750
Ni4 0.126 0.472 0.030
Ni5 0.206 0.794 0.790
Ni6 0.294 0.706 0.290
Ni7 0.374 0.028 0.530
Ni8 0.413 0.087 0.250
Ni9 0.457 0.543 0.119
Ni10 0.472 0.126 0.970
Ni11 0.528 0.874 0.030
Ni12 0.543 0.457 0.881
Ni13 0.587 0.913 0.750
Ni14 0.626 0.972 0.470
Ni15 0.706 0.294 0.710
Ni16 0.794 0.206 0.210
Ni17 0.874 0.528 0.970
Ni18 0.913 0.587 0.250
Ni19 0.957 0.043 0.381
Ni20 0.972 0.626 0.530
P1 0.091 0.909 0.371
P2 0.146 0.354 0.250
P3 0.209 0.791 0.072
P4 0.291 0.709 0.572
P5 0.354 0.146 0.750
P6 0.409 0.591 0.871
P7 0.591 0.409 0.129
P8 0.646 0.854 0.250
P9 0.709 0.291 0.428
P10 0.791 0.209 0.928
P11 0.854 0.646 0.750
P12 0.909 0.091 0.629

Largest 8 diffraction maxima, by intensity, 2θ = 10–90°:
- 35.81°, I 100
- 37.92°, I 82
- 36.52°, I 73
- 47.92°, I 73
- 54.32°, I 63
- 29.98°, I 61
- 32.81°, I 56
- 33.47°, I 52